No. 1
Calculated X-ray diffraction stick pattern
Compound: Cs3MgHg2F9
Radiation: Cu Kα (weighted mean of Kα1 and Kα2)
Structure: a crystal structure in Alexandria, relaxed with PBE
Lines closer than 0.1° are merged.

Largest 8 diffraction maxima, in order of rising 2θ, 5 to 70 degrees two-theta:
28.0 deg, I = 100, (1 1 0)
40.0 deg, I = 32, (2 0 2)
49.4 deg, I = 12, (1 0 4)
49.6 deg, I = 31, (3 0 0)
57.8 deg, I = 11, (0 2 4)
58.0 deg, I = 11, (2 2 0)
65.4 deg, I = 10, (2 1 4)
65.5 deg, I = 10, (3 1 2)

Atomic structure:
abc: 6.3654 6.3654 7.8306
angles: 90.00 90.00 120.00
Space group P-3m1 (No. 164)
One atom of each set of equivalent atoms:
Cs 0.0000 0.0000 0.0000 (multiplicity 1)
Cs 0.3333 0.6667 0.6709 (multiplicity 2)
Mg 0.0000 0.0000 0.5000 (multiplicity 1)
Hg 0.3333 0.6667 0.1861 (multiplicity 2)
F 0.0000 0.5000 0.0000 (multiplicity 3)
F 0.1532 0.3065 0.3499 (multiplicity 6)

***

No. 2
Calculated X-ray diffraction stick pattern
Compound: LiSc5Te8
Radiation: Cu Kα (weighted mean of Kα1 and Kα2)
Structure: a crystal structure in Alexandria, relaxed with PBE
Lines closer than 0.1° are merged.

Largest 8 diffraction maxima, in order of rising 2θ, 5 to 70 degrees two-theta:
25.5 deg, I = 100, (2 2 2)
29.5 deg, I = 98, (4 0 0)
42.2 deg, I = 84, (4 4 0)
49.9 deg, I = 46, (6 2 2)
52.3 deg, I = 24, (4 4 4)
61.2 deg, I = 13, (8 0 0)
67.4 deg, I = 17, (6 6 2)
69.3 deg, I = 28, (8 4 0)

Atomic structure:
abc: 12.1205 12.1205 12.1205
angles: 90.00 90.00 90.00
Space group F-43m (No. 216)
One atom of each set of equivalent atoms:
Li 0.0000 0.0000 0.0000 (multiplicity 4)
Sc 0.1315 0.1315 0.3685 (multiplicity 16)
Sc 0.2500 0.2500 0.7500 (multiplicity 4)
Te 0.1165 0.1165 0.6165 (multiplicity 16)
Te 0.1301 0.1301 0.1301 (multiplicity 16)

***

Copy entry 1 word for word.
Calculated X-ray diffraction stick pattern
Compound: Cs3MgHg2F9
Radiation: Cu Kα (weighted mean of Kα1 and Kα2)
Structure: a crystal structure in Alexandria, relaxed with PBE
Lines closer than 0.1° are merged.

Largest 8 diffraction maxima, in order of rising 2θ, 5 to 70 degrees two-theta:
28.0 deg, I = 100, (1 1 0)
40.0 deg, I = 32, (2 0 2)
49.4 deg, I = 12, (1 0 4)
49.6 deg, I = 31, (3 0 0)
57.8 deg, I = 11, (0 2 4)
58.0 deg, I = 11, (2 2 0)
65.4 deg, I = 10, (2 1 4)
65.5 deg, I = 10, (3 1 2)

Atomic structure:
abc: 6.3654 6.3654 7.8306
angles: 90.00 90.00 120.00
Space group P-3m1 (No. 164)
One atom of each set of equivalent atoms:
Cs 0.0000 0.0000 0.0000 (multiplicity 1)
Cs 0.3333 0.6667 0.6709 (multiplicity 2)
Mg 0.0000 0.0000 0.5000 (multiplicity 1)
Hg 0.3333 0.6667 0.1861 (multiplicity 2)
F 0.0000 0.5000 0.0000 (multiplicity 3)
F 0.1532 0.3065 0.3499 (multiplicity 6)

***

Q: What is the formula in the second record?
A: LiSc5Te8